Record 1
# CeNiC2
Calculated powder X-ray diffraction pattern, copper Kα. Input: a GGA-PBE-relaxed structure.

Top 10 peaks for 2θ from 10° to 90°, by angle:
- 24.55 deg, I 233
- 29.73 deg, I 196
- 34.08 deg, I 1000
- 38.09 deg, I 217
- 39.64 deg, I 167
- 47.57 deg, I 125
- 49.74 deg, I 152
- 50.32 deg, I 128
- 56.14 deg, I 114
- 68.38 deg, I 124

Crystal structure
Unit cell a=3.8228 b=4.5476 c=6.0093 alpha=90.00 beta=90.00 gamma=90.00
Element x y z (fractional)
1 Ce 0.0000 0.0000 0.0000
2 Ce 0.0000 0.5000 0.5000
3 Ni 0.5000 0.0000 0.3942
4 Ni 0.5000 0.5000 0.8942
5 C 0.5000 0.1528 0.7056
6 C 0.5000 0.3472 0.2056
7 C 0.5000 0.6528 0.2056
8 C 0.5000 0.8472 0.7056

Record 2
# CeCO
Calculated powder X-ray diffraction pattern, copper Kα. Input: a GGA-PBE-relaxed structure.

Top 10 peaks for 2θ from 10° to 90°, by angle:
- 26.26 deg, I 820
- 28.87 deg, I 1000
- 30.36 deg, I 377
- 30.86 deg, I 251
- 34.97 deg, I 189
- 46.42 deg, I 267
- 46.91 deg, I 300
- 47.02 deg, I 307
- 51.30 deg, I 180
- 54.53 deg, I 224

Crystal structure
Unit cell a=6.8511 b=3.8758 c=6.8340 alpha=90.00 beta=97.16 gamma=90.00
Element x y z (fractional)
1 Ce 0.1933 0.0000 0.2251
2 Ce 0.3067 0.5000 0.7749
3 Ce 0.6933 0.5000 0.2251
4 Ce 0.8067 0.0000 0.7749
5 C 0.0567 0.5000 0.4313
6 C 0.4433 0.0000 0.5687
7 C 0.5567 0.0000 0.4313
8 C 0.9433 0.5000 0.5687
9 O 0.1518 0.0000 0.8768
10 O 0.3482 0.5000 0.1232
11 O 0.6518 0.5000 0.8768
12 O 0.8482 0.0000 0.1232

Record 3
# CeC3O6
Calculated powder X-ray diffraction pattern, copper Kα. Input: a GGA-PBE-relaxed structure.

Top 10 peaks for 2θ from 10° to 90°, by angle:
- 15.48 deg, I 1000
- 16.27 deg, I 813
- 19.75 deg, I 870
- 29.14 deg, I 343
- 29.26 deg, I 255
- 32.87 deg, I 296
- 33.66 deg, I 745
- 37.50 deg, I 297
- 44.58 deg, I 295
- 49.36 deg, I 291

Crystal structure
Unit cell a=7.2545 b=10.8989 c=6.7282 alpha=90.00 beta=90.00 gamma=90.00
Element x y z (fractional)
1 Ce 0.2098 0.2500 0.1271
2 Ce 0.2902 0.7500 0.6271
3 Ce 0.7098 0.2500 0.3729
4 Ce 0.7902 0.7500 0.8729
5 C 0.0910 0.5218 0.9520
6 C 0.0910 0.9782 0.9520
7 C 0.1270 0.2500 0.6340
8 C 0.3730 0.7500 0.1340
9 C 0.4090 0.0218 0.4520
10 C 0.4090 0.4782 0.4520
11 C 0.5910 0.5218 0.5480
12 C 0.5910 0.9782 0.5480
13 C 0.6270 0.2500 0.8660
14 C 0.8730 0.7500 0.3660
15 C 0.9090 0.0218 0.0480
16 C 0.9090 0.4782 0.0480
17 O 0.0492 0.2500 0.7983
18 O 0.0505 0.2500 0.4636
19 O 0.0804 0.6214 0.8520
20 O 0.0804 0.8786 0.8520
21 O 0.2331 0.0418 0.9779
22 O 0.2331 0.4582 0.9779
23 O 0.2669 0.5418 0.4779
24 O 0.2669 0.9582 0.4779
25 O 0.4196 0.1214 0.3520
26 O 0.4196 0.3786 0.3520
27 O 0.4495 0.7500 0.9636
28 O 0.4508 0.7500 0.2983
29 O 0.5492 0.2500 0.7017
30 O 0.5505 0.2500 0.0364
31 O 0.5804 0.6214 0.6480
32 O 0.5804 0.8786 0.6480
33 O 0.7331 0.0418 0.5221
34 O 0.7331 0.4582 0.5221
35 O 0.7669 0.5418 0.0221
36 O 0.7669 0.9582 0.0221
37 O 0.9196 0.1214 0.1480
38 O 0.9196 0.3786 0.1480
39 O 0.9495 0.7500 0.5364
40 O 0.9508 0.7500 0.2017

Record 4
# Ce4C10O31
Calculated powder X-ray diffraction pattern, copper Kα. Input: a GGA-PBE-relaxed structure.

Top 10 peaks for 2θ from 10° to 90°, by angle:
- 11.46 deg, I 480
- 15.37 deg, I 1000
- 16.33 deg, I 697
- 20.15 deg, I 374
- 20.93 deg, I 428
- 22.89 deg, I 451
- 23.97 deg, I 278
- 31.00 deg, I 374
- 31.99 deg, I 212
- 36.16 deg, I 228

Crystal structure
Unit cell a=6.4724 b=8.3330 c=13.0290 alpha=106.79 beta=90.93 gamma=102.68
Element x y z (fractional)
1 Ce 0.0000 0.0000 0.0000
2 Ce 0.1858 0.0437 0.5319
3 Ce 0.4093 0.7108 0.3616
4 Ce 0.7778 0.3353 0.1711
5 C 0.9996 0.9434 0.7420
6 C 0.0455 0.7206 0.1320
7 C 0.1385 0.3244 0.4009
8 C 0.1838 0.1037 0.7900
9 C 0.3196 0.3142 0.1400
10 C 0.3289 0.4169 0.4869
11 C 0.5307 0.0815 0.3044
12 C 0.6538 0.9652 0.2283
13 C 0.8549 0.6282 0.0459
14 C 0.8673 0.7312 0.3934
15 O 0.0410 0.1776 0.4051
16 O 0.0697 0.7495 0.4150
17 O 0.0834 0.6410 0.1971
18 O 0.1000 0.4038 0.3359
19 O 0.1167 0.2939 0.1189
20 O 0.1434 0.8674 0.1281
21 O 0.2243 0.1487 0.8910
22 O 0.2738 0.7636 0.9077
23 O 0.2774 0.1736 0.7237
24 O 0.3327 0.6364 0.9169
25 O 0.3676 0.3360 0.5507
26 O 0.3928 0.0058 0.3536
27 O 0.3940 0.7254 0.7506
28 O 0.3997 0.1834 0.0999
29 O 0.4148 0.9135 0.5190
30 O 0.4298 0.5660 0.4886
31 O 0.4397 0.4573 0.1968
32 O 0.4532 0.6007 0.7610
33 O 0.5762 0.2395 0.3119
34 O 0.6092 0.8075 0.2213
35 O 0.7458 0.5885 0.3372
36 O 0.7540 0.4794 0.0449
37 O 0.7731 0.1324 0.0124
38 O 0.7894 0.8635 0.4325
39 O 0.7912 0.0406 0.1786
40 O 0.8154 0.7089 0.9823
41 O 0.8639 0.2678 0.6096
42 O 0.8693 0.4143 0.6046
43 O 0.9083 0.8721 0.8081
44 O 0.9108 0.3071 0.8301
45 O 0.9601 0.8987 0.6411

Record 5
# Sr3CePC3O13
Calculated powder X-ray diffraction pattern, copper Kα. Input: a GGA-PBE-relaxed structure.

Top 10 peaks for 2θ from 10° to 90°, by angle:
- 17.39 deg, I 124
- 22.28 deg, I 507
- 27.83 deg, I 1000
- 28.40 deg, I 124
- 35.20 deg, I 379
- 42.05 deg, I 271
- 42.29 deg, I 146
- 43.94 deg, I 251
- 45.45 deg, I 159
- 46.05 deg, I 286

Crystal structure
Unit cell a=6.6577 b=6.6577 c=6.6577 alpha=99.99 beta=99.99 gamma=99.99
Element x y z (fractional)
1 Sr 0.1844 0.1844 0.6312
2 Sr 0.1844 0.6312 0.1844
3 Sr 0.6312 0.1844 0.1844
4 Ce 0.7104 0.7104 0.7104
5 P 0.1308 0.1308 0.1308
6 C 0.1444 0.6434 0.6434
7 C 0.6434 0.1444 0.6434
8 C 0.6434 0.6434 0.1444
9 O 0.0242 0.2717 0.2717
10 O 0.0531 0.5508 0.7703
11 O 0.0531 0.7703 0.5508
12 O 0.2717 0.0242 0.2717
13 O 0.2717 0.2717 0.0242
14 O 0.3156 0.5991 0.5991
15 O 0.5508 0.0531 0.7703
16 O 0.5508 0.7703 0.0531
17 O 0.5991 0.3156 0.5991
18 O 0.5991 0.5991 0.3156
19 O 0.7703 0.0531 0.5508
20 O 0.7703 0.5508 0.0531
21 O 0.9658 0.9658 0.9658